Simulated XRD peak list of Zr4Fe4Si7 for Cu Kα (weighted mean of Kα1 and Kα2), from the GGA-PBE geometry in Alexandria.
No peak broadening, texture or thermal motion is included.

Atomic structure:
a b c (Å): 13.064 13.064 5.047
angles (deg): 90.00 90.00 90.00
Space group I4/mmm (No. 139)
Inequivalent atoms, fractional coordinates:
1 Zr 0.000 0.197 0.000
2 Zr 0.138 0.138 0.500
3 Fe 0.148 0.352 0.250
4 Si 0.000 0.000 0.250
5 Si 0.000 0.301 0.500
6 Si 0.000 0.409 0.000
7 Si 0.211 0.211 0.000

Peak list (12 most intense, 5 to 70 degrees two-theta, by angle)
2θ = 27.0°, I 13, (3 0 1)
2θ = 27.3°, I 11, (4 0 0)
2θ = 30.4°, I 23, (3 2 1)
2θ = 33.4°, I 19, (4 1 1)
2θ = 38.8°, I 100, (5 0 1)
2θ = 39.0°, I 28, (4 4 0)
2θ = 41.5°, I 31, (6 0 0)
2θ = 42.0°, I 60, (3 1 2)
2θ = 46.5°, I 12, (3 3 2)
2θ = 62.3°, I 10, (5 5 2)
2θ = 65.8°, I 26, (7 3 2)
2θ = 66.1°, I 20, (5 0 3)